Record 1
CdPdSO: theoretical powder XRD pattern (Cu Kα, 1.54184 Å), based on a structure optimized by DFT (PBE).
No peak broadening, texture or thermal motion is included.

Principal peaks in the range 2θ from 10° to 90°, by intensity:
two_theta, I_rel
30.16, 100
38.16, 40
38.36, 38
35.80, 35
31.19, 24
30.85, 23
27.95, 23
64.27, 22

Cell and atoms:
```
CdPdSO
1.0
6.9219 0.0000 0.0000
0.0000 3.3230 0.0000
0.0000 0.0000 11.4711
Cd Pd S O
4 4 4 4
direct
0.0251 0.2500 0.2312 Cd
0.4749 0.7500 0.7312 Cd
0.5251 0.2500 0.2688 Cd
0.9749 0.7500 0.7688 Cd
0.2381 0.7500 0.4835 Pd
0.2619 0.2500 0.9835 Pd
0.7381 0.7500 0.0165 Pd
0.7619 0.2500 0.5165 Pd
0.2147 0.2500 0.6209 S
0.2853 0.7500 0.1209 S
0.7147 0.2500 0.8791 S
0.7853 0.7500 0.3791 S
0.2456 0.7500 0.8660 O
0.2544 0.2500 0.3660 O
0.7456 0.7500 0.6340 O
0.7544 0.2500 0.1340 O
```

Record 2
CuSiHgMo: theoretical powder XRD pattern (Cu Kα, 1.54184 Å), based on a structure optimized by DFT (PBE).
No peak broadening, texture or thermal motion is included.

Principal peaks in the range 2θ from 10° to 90°, by intensity:
two_theta, I_rel
40.48, 100
24.46, 47
73.62, 34
47.86, 25
58.58, 17
87.56, 11
64.43, 10
78.92, 8

Cell and atoms:
```
CuSiHgMo
1.0
6.3033 0.0000 0.0000
0.0000 6.3033 0.0000
0.0000 0.0000 6.3033
Cu Si Hg Mo
4 4 4 4
direct
0.0000 0.0000 0.0000 Cu
0.0000 0.5000 0.5000 Cu
0.5000 0.0000 0.5000 Cu
0.5000 0.5000 0.0000 Cu
0.2500 0.2500 0.7500 Si
0.2500 0.7500 0.2500 Si
0.7500 0.2500 0.2500 Si
0.7500 0.7500 0.7500 Si
0.2500 0.2500 0.2500 Hg
0.2500 0.7500 0.7500 Hg
0.7500 0.2500 0.7500 Hg
0.7500 0.7500 0.2500 Hg
0.0000 0.0000 0.5000 Mo
0.0000 0.5000 0.0000 Mo
0.5000 0.0000 0.0000 Mo
0.5000 0.5000 0.5000 Mo
```

Record 3
Ag7Te: theoretical powder XRD pattern (Cu Kα, 1.54184 Å), based on a structure optimized by DFT (PBE).
No peak broadening, texture or thermal motion is included.

Principal peaks in the range 2θ from 10° to 90°, by intensity:
two_theta, I_rel
37.95, 100
43.28, 50
36.71, 40
75.84, 24
62.87, 15
63.07, 14
43.53, 13
64.79, 12

Cell and atoms:
```
Ag7Te
1.0
2.9566 0.0000 0.0000
0.0000 2.9566 0.0000
0.0000 0.0000 43.6423
Ag Te
14 2
direct
0.2500 0.2500 0.0229 Ag
0.2500 0.2500 0.1145 Ag
0.2500 0.2500 0.2062 Ag
0.2500 0.2500 0.2998 Ag
0.2500 0.2500 0.7472 Ag
0.2500 0.2500 0.8397 Ag
0.2500 0.2500 0.9313 Ag
0.7500 0.7500 0.0687 Ag
0.7500 0.7500 0.1603 Ag
0.7500 0.7500 0.2528 Ag
0.7500 0.7500 0.7002 Ag
0.7500 0.7500 0.7938 Ag
0.7500 0.7500 0.8855 Ag
0.7500 0.7500 0.9771 Ag
0.2500 0.2500 0.6412 Te
0.7500 0.7500 0.3588 Te
```

Record 4
CuC8N6: theoretical powder XRD pattern (Cu Kα, 1.54184 Å), based on a structure optimized by DFT (PBE).
No peak broadening, texture or thermal motion is included.

Principal peaks in the range 2θ from 10° to 90°, by intensity:
two_theta, I_rel
22.09, 100
23.34, 48
14.84, 48
30.00, 40
34.25, 25
27.97, 25
16.61, 21
45.06, 18

Cell and atoms:
```
CuC8N6
1.0
7.2032 0.0000 0.0000
0.0000 5.4466 0.0000
0.0000 0.0000 10.6739
Cu C N
2 16 12
direct
0.0000 0.0000 0.0000 Cu
0.5000 0.0000 0.5000 Cu
0.0000 0.3980 0.2662 C
0.0000 0.4030 0.6504 C
0.0000 0.5970 0.3496 C
0.0000 0.6020 0.7338 C
0.1653 0.2976 0.6088 C
0.1653 0.7024 0.3912 C
0.3347 0.2976 0.8912 C
0.3347 0.7024 0.1088 C
0.5000 0.3980 0.2338 C
0.5000 0.4030 0.8496 C
0.5000 0.5970 0.1504 C
0.5000 0.6020 0.7662 C
0.6653 0.2976 0.8912 C
0.6653 0.7024 0.1088 C
0.8347 0.2976 0.6088 C
0.8347 0.7024 0.3912 C
0.0000 0.2327 0.1959 N
0.0000 0.7673 0.8041 N
0.1992 0.2086 0.9308 N
0.1992 0.7914 0.0692 N
0.3008 0.2086 0.5692 N
0.3008 0.7914 0.4308 N
0.5000 0.2327 0.3041 N
0.5000 0.7673 0.6959 N
0.6992 0.2086 0.5692 N
0.6992 0.7914 0.4308 N
0.8008 0.2086 0.9308 N
0.8008 0.7914 0.0692 N
```

Record 5
Ta2FeBi: theoretical powder XRD pattern (Cu Kα, 1.54184 Å), based on a structure optimized by DFT (PBE).
No peak broadening, texture or thermal motion is included.

Principal peaks in the range 2θ from 10° to 90°, by intensity:
two_theta, I_rel
38.46, 100
69.56, 36
55.52, 17
82.39, 11
23.27, 9
26.93, 7
45.43, 5
62.76, 3

Cell and atoms:
```
Ta2FeBi
1.0
6.6210 0.0000 0.0000
0.0000 6.6210 0.0000
0.0000 0.0000 6.6210
Ta Fe Bi
8 4 4
direct
0.0000 0.0000 0.0000 Ta
0.0000 0.5000 0.5000 Ta
0.2500 0.2500 0.2500 Ta
0.2500 0.7500 0.7500 Ta
0.5000 0.0000 0.5000 Ta
0.5000 0.5000 0.0000 Ta
0.7500 0.2500 0.7500 Ta
0.7500 0.7500 0.2500 Ta
0.2500 0.2500 0.7500 Fe
0.2500 0.7500 0.2500 Fe
0.7500 0.2500 0.2500 Fe
0.7500 0.7500 0.7500 Fe
0.0000 0.0000 0.5000 Bi
0.0000 0.5000 0.0000 Bi
0.5000 0.0000 0.0000 Bi
0.5000 0.5000 0.5000 Bi
```

Record 6
Ta2Nb3B6: theoretical powder XRD pattern (Cu Kα, 1.54184 Å), based on a structure optimized by DFT (PBE).
No peak broadening, texture or thermal motion is included.

Principal peaks in the range 2θ from 10° to 90°, by intensity:
two_theta, I_rel
34.51, 100
41.23, 98
41.80, 64
28.06, 62
67.24, 30
67.02, 29
39.49, 29
74.35, 23

Cell and atoms:
```
Ta2Nb3B6
1.0
1.5808 -11.4092 0.0000
1.5808 11.4092 0.0000
0.0000 0.0000 3.3111
Ta Nb B
2 3 6
direct
0.1944 0.8056 0.0000 Ta
0.8056 0.1944 0.0000 Ta
0.0000 0.0000 0.5000 Nb
0.3855 0.6145 0.5000 Nb
0.6145 0.3855 0.5000 Nb
0.0823 0.9177 0.0000 B
0.2732 0.7268 0.5000 B
0.4604 0.5396 0.0000 B
0.5396 0.4604 0.0000 B
0.7268 0.2732 0.5000 B
0.9177 0.0823 0.0000 B
```

Record 7
Dy3Er2Tm2Fe2Te2: theoretical powder XRD pattern (Cu Kα, 1.54184 Å), based on a structure optimized by DFT (PBE).
No peak broadening, texture or thermal motion is included.

Principal peaks in the range 2θ from 10° to 90°, by intensity:
two_theta, I_rel
34.16, 100
33.60, 83
34.86, 55
30.72, 53
59.34, 33
47.39, 30
34.49, 29
37.22, 26

Cell and atoms:
```
Dy3Er2Tm2Fe2Te2
1.0
-1.9183 7.8014 4.6612
1.9183 -7.8014 4.6612
1.9183 7.8014 -4.6612
Dy Er Tm Fe Te
3 2 2 2 2
direct
0.0000 0.0000 0.0000 Dy
0.4451 0.5809 0.8643 Dy
0.7166 0.5809 0.1357 Dy
0.0619 0.3745 0.6874 Er
0.6871 0.3745 0.3126 Er
0.0807 0.7308 0.3499 Tm
0.3810 0.7308 0.6501 Tm
0.3054 0.0695 0.2359 Fe
0.8335 0.0695 0.7641 Fe
0.3334 0.3334 0.0000 Te
0.7348 0.2348 0.5000 Te
```

Record 8
Hg4P2O7: theoretical powder XRD pattern (Cu Kα, 1.54184 Å), based on a structure optimized by DFT (PBE).
No peak broadening, texture or thermal motion is included.

Principal peaks in the range 2θ from 10° to 90°, by intensity:
two_theta, I_rel
18.17, 100
29.76, 92
42.10, 78
28.98, 74
14.53, 70
26.88, 62
23.34, 55
31.06, 53

Cell and atoms:
```
Hg4P2O7
1.0
9.1213 0.0000 0.0000
0.0000 4.8834 0.0000
-7.6220 0.0000 9.5473
Hg P O
8 4 14
direct
0.0614 0.0600 0.3775 Hg
0.0614 0.9400 0.8775 Hg
0.4117 0.1737 0.8991 Hg
0.4117 0.8263 0.3991 Hg
0.5883 0.1737 0.6009 Hg
0.5883 0.8263 0.1009 Hg
0.9386 0.0600 0.1225 Hg
0.9386 0.9400 0.6225 Hg
0.2917 0.4003 0.1424 P
0.2917 0.5997 0.6424 P
0.7083 0.4003 0.3576 P
0.7083 0.5997 0.8576 P
0.1647 0.1468 0.0781 O
0.1647 0.8532 0.5781 O
0.2441 0.4525 0.7280 O
0.2441 0.5475 0.2280 O
0.2929 0.4260 0.5397 O
0.2929 0.5740 0.0397 O
0.5000 0.2641 0.2500 O
0.5000 0.7359 0.7500 O
0.7071 0.4260 0.9603 O
0.7071 0.5740 0.4603 O
0.7559 0.4525 0.7720 O
0.7559 0.5475 0.2720 O
0.8353 0.1468 0.4219 O
0.8353 0.8532 0.9219 O
```

Record 9
CdC4F6: theoretical powder XRD pattern (Cu Kα, 1.54184 Å), based on a structure optimized by DFT (PBE).
No peak broadening, texture or thermal motion is included.

Principal peaks in the range 2θ from 10° to 90°, by intensity:
two_theta, I_rel
30.89, 100
35.04, 90
18.98, 89
17.00, 72
22.38, 59
32.83, 54
36.49, 53
22.86, 53

Cell and atoms:
```
CdC4F6
1.0
4.6867 0.0000 0.0000
-1.5127 5.2320 0.0000
-0.7696 -2.6075 5.2146
Cd C F
1 4 6
direct
0.0000 0.0000 0.0000 Cd
0.4249 0.3307 0.2006 C
0.4695 0.6032 0.2675 C
0.5305 0.3968 0.7325 C
0.5751 0.6693 0.7994 C
0.2402 0.6920 0.2160 F
0.2651 0.1750 0.6091 F
0.3122 0.7215 0.7263 F
0.6878 0.2785 0.2737 F
0.7349 0.8250 0.3909 F
0.7598 0.3080 0.7840 F
```

Record 10
Sr2H6PdPt: theoretical powder XRD pattern (Cu Kα, 1.54184 Å), based on a structure optimized by DFT (PBE).
No peak broadening, texture or thermal motion is included.

Principal peaks in the range 2θ from 10° to 90°, by intensity:
two_theta, I_rel
33.18, 100
32.92, 51
58.95, 38
47.25, 19
59.44, 19
69.65, 12
20.09, 10
48.01, 9

Cell and atoms:
```
Sr2H6PdPt
1.0
-2.7206 2.7206 3.7898
2.7206 -2.7206 3.7898
2.7206 2.7206 -3.7898
Sr H Pd Pt
2 6 1 1
direct
0.2500 0.7500 0.5000 Sr
0.7500 0.2500 0.5000 Sr
0.2409 0.7575 0.9984 H
0.2425 0.2409 0.4834 H
0.2417 0.2417 0.0000 H
0.7583 0.7583 0.0000 H
0.7575 0.7591 0.5166 H
0.7591 0.2425 0.0016 H
0.5000 0.5000 0.0000 Pd
0.0000 0.0000 0.0000 Pt
```

Record 11
YEr2Tm2Lu2Ni2Te2: theoretical powder XRD pattern (Cu Kα, 1.54184 Å), based on a structure optimized by DFT (PBE).
No peak broadening, texture or thermal motion is included.

Principal peaks in the range 2θ from 10° to 90°, by intensity:
two_theta, I_rel
34.43, 100
34.94, 87
33.40, 84
30.67, 44
59.43, 33
47.65, 30
25.16, 27
38.89, 22

Cell and atoms:
```
YEr2Tm2Lu2Ni2Te2
1.0
-1.9086 7.6937 4.7212
1.9086 -7.6937 4.7212
1.9086 7.6937 -4.7212
Y Er Tm Lu Ni Te
1 2 2 2 2 2
direct
0.0000 0.0000 0.0000 Y
0.6209 0.2688 0.3521 Er
0.9167 0.2688 0.6479 Er
0.2843 0.4174 0.8669 Tm
0.5505 0.4174 0.1331 Tm
0.3055 0.6202 0.6853 Lu
0.9349 0.6202 0.3147 Lu
0.1670 0.9286 0.2385 Ni
0.6901 0.9286 0.7615 Ni
0.2651 0.7651 0.5000 Te
0.6629 0.6629 0.0000 Te
```

Record 12
Gd2HoSe3: theoretical powder XRD pattern (Cu Kα, 1.54184 Å), based on a structure optimized by DFT (PBE).
No peak broadening, texture or thermal motion is included.

Principal peaks in the range 2θ from 10° to 90°, by intensity:
two_theta, I_rel
30.94, 100
44.24, 37
44.41, 37
55.10, 19
73.11, 17
73.35, 17
26.74, 15
81.65, 13

Cell and atoms:
```
Gd2HoSe3
1.0
4.0800 0.0000 0.0000
-2.0400 3.5334 0.0000
0.0000 0.0000 10.0475
Gd Ho Se
2 1 3
direct
0.3333 0.6667 0.1672 Gd
0.6667 0.3333 0.8328 Gd
0.0000 0.0000 0.5000 Ho
0.0000 0.0000 0.0000 Se
0.3333 0.6667 0.6618 Se
0.6667 0.3333 0.3382 Se
```